# 1
Diffraction record for NaPrNb2O6. The XRD peak list is computed, not measured: it uses a structure optimized by DFT (GGA-PBE) and Cu Kα (weighted mean of Kα1 and Kα2).

Principal peaks in the range 10 to 90 degrees two-theta, low angle first:
18.98°, I 29.7; 31.23°, I 100.0; 36.80°, I 16.8; 44.75°, I 35.3; 49.02°, I 7.5; 55.58°, I 39.4; 59.28°, I 5.7; 65.15°, I 20.9; 74.02°, I 16.7; 82.51°, I 6.8

Structure:
a = 5.7275 Å, b = 5.7275 Å, c = 5.7275 Å
α = 60.00°, β = 60.00°, γ = 60.00°
Element x y z (fractional)
1 Na 0.0000 0.0000 0.0000
2 Pr 0.5000 0.5000 0.5000
3 Nb 0.2500 0.2500 0.2500
4 Nb 0.7500 0.7500 0.7500
5 O 0.0000 0.0000 0.5000
6 O 0.0000 0.5000 0.0000
7 O 0.0000 0.5000 0.5000
8 O 0.5000 0.0000 0.0000
9 O 0.5000 0.0000 0.5000
10 O 0.5000 0.5000 0.0000

# 2
Diffraction record for Na3PrTi2Nb2O12. The XRD peak list is computed, not measured: it uses a structure optimized by DFT (GGA-PBE) and Cu Kα (weighted mean of Kα1 and Kα2).

Principal peaks in the range 10 to 90 degrees two-theta, low angle first:
11.31°, I 16.2; 17.00°, I 17.5; 23.25°, I 33.5; 31.85°, I 22.0; 32.25°, I 100.0; 46.02°, I 30.2; 46.43°, I 15.7; 56.99°, I 16.8; 57.59°, I 18.8; 67.43°, I 16.8

Structure:
a = 15.6471 Å, b = 5.5390 Å, c = 5.6194 Å
α = 90.00°, β = 90.00°, γ = 90.00°
Element x y z (fractional)
1 Na 0.0000 0.2450 0.0000
2 Na 0.0000 0.7550 0.5000
3 Na 0.2534 0.2496 0.9626
4 Na 0.2534 0.7504 0.4626
5 Na 0.7466 0.2496 0.9626
6 Na 0.7466 0.7504 0.4626
7 Pr 0.5000 0.2446 0.0081
8 Pr 0.5000 0.7554 0.5081
9 Ti 0.3706 0.2566 0.4902
10 Ti 0.3706 0.7434 0.9902
11 Ti 0.6294 0.2566 0.4902
12 Ti 0.6294 0.7434 0.9902
13 Nb 0.1262 0.2551 0.4911
14 Nb 0.1262 0.7449 0.9911
15 Nb 0.8738 0.2551 0.4911
16 Nb 0.8738 0.7449 0.9911
17 O 0.0000 0.3164 0.4452
18 O 0.0000 0.6836 0.9452
19 O 0.1087 0.0404 0.7511
20 O 0.1087 0.9596 0.2511
21 O 0.1435 0.4577 0.1724
22 O 0.1435 0.5423 0.6724
23 O 0.2528 0.1838 0.4733
24 O 0.2528 0.8162 0.9733
25 O 0.3651 0.4699 0.1773
26 O 0.3651 0.5301 0.6773
27 O 0.3995 0.0306 0.7348
28 O 0.3995 0.9694 0.2348
29 O 0.5000 0.3189 0.4444
30 O 0.5000 0.6811 0.9444
31 O 0.6005 0.0306 0.7348
32 O 0.6005 0.9694 0.2348
33 O 0.6349 0.4699 0.1773
34 O 0.6349 0.5301 0.6773
35 O 0.7472 0.1838 0.4733
36 O 0.7472 0.8162 0.9733
37 O 0.8565 0.4577 0.1724
38 O 0.8565 0.5423 0.6724
39 O 0.8913 0.0404 0.7511
40 O 0.8913 0.9596 0.2511

# 3
Diffraction record for Na3PrTi2Nb2O12. The XRD peak list is computed, not measured: it uses a structure optimized by DFT (GGA-PBE) and Cu Kα (weighted mean of Kα1 and Kα2).

Principal peaks in the range 10 to 90 degrees two-theta, low angle first:
11.24°, I 19.2; 19.48°, I 21.3; 19.61°, I 20.5; 22.61°, I 18.8; 32.03°, I 26.4; 32.18°, I 100.0; 32.37°, I 23.7; 46.16°, I 57.0; 57.19°, I 24.8; 57.61°, I 23.1

Structure:
a = 5.5318 Å, b = 5.5887 Å, c = 7.8717 Å
α = 89.91°, β = 89.97°, γ = 89.97°
Element x y z (fractional)
1 Na 0.0000 0.0000 0.0000
2 Na 0.0094 0.9651 0.5008
3 Na 0.5078 0.5000 0.0004
4 Pr 0.5007 0.4473 0.5006
5 Ti 0.0034 0.4720 0.2558
6 Ti 0.5097 0.9710 0.7462
7 Nb 0.0034 0.4793 0.7636
8 Nb 0.5093 0.9719 0.2367
9 O 0.0662 0.4744 0.0040
10 O 0.2279 0.2228 0.2945
11 O 0.2318 0.2198 0.7070
12 O 0.2874 0.7056 0.2906
13 O 0.2922 0.7088 0.7111
14 O 0.4340 0.9818 0.9975
15 O 0.5676 0.0030 0.5040
16 O 0.7147 0.2778 0.7740
17 O 0.7175 0.2823 0.2282
18 O 0.7822 0.7755 0.7806
19 O 0.7869 0.7719 0.2192
20 O 0.9344 0.5035 0.4972

# 4
Diffraction record for NaPrZrNbO6. The XRD peak list is computed, not measured: it uses a structure optimized by DFT (GGA-PBE) and Cu Kα (weighted mean of Kα1 and Kα2).

Principal peaks in the range 10 to 90 degrees two-theta, low angle first:
18.73°, I 30.0; 30.81°, I 100.0; 36.30°, I 17.1; 44.14°, I 35.7; 48.34°, I 7.7; 54.79°, I 39.6; 64.19°, I 21.2; 72.89°, I 16.9; 81.20°, I 6.9; 89.32°, I 20.5

Structure:
a = 5.8037 Å, b = 5.8037 Å, c = 5.8037 Å
α = 60.00°, β = 60.00°, γ = 60.00°
Element x y z (fractional)
1 Na 0.0000 0.0000 0.0000
2 Pr 0.5000 0.5000 0.5000
3 Zr 0.7500 0.7500 0.7500
4 Nb 0.2500 0.2500 0.2500
5 O 0.0043 0.0043 0.4957
6 O 0.0043 0.4957 0.0043
7 O 0.0043 0.4957 0.4957
8 O 0.4957 0.0043 0.0043
9 O 0.4957 0.0043 0.4957
10 O 0.4957 0.4957 0.0043